# Y2Tm3Si4
Calculated powder X-ray diffraction pattern, Cu Kα (weighted mean of Kα1 and Kα2). Input: a cell relaxed with PBE.

Atomic structure:
```
data_Y2Tm3Si4
_cell_length_a 7.594
_cell_length_b 7.637
_cell_length_c 7.311
_cell_angle_alpha 90.00
_cell_angle_beta 107.15
_cell_angle_gamma 90.00
_space_group_name_H-M_alt 'P 1 21/c 1'
_space_group_IT_number 14
loop_
_space_group_symop_operation_xyz
'x,y,z'
'-x,-y,-z'
'-x,y+1/2,-z+1/2'
'x,-y+1/2,z+1/2'
loop_
_atom_site_label
_atom_site_type_symbol
_atom_site_fract_x
_atom_site_fract_y
_atom_site_fract_z
Y1 Y 0.197 0.179 0.081
Tm1 Tm 0.245 0.681 0.252
Tm2 Tm 0.500 0.000 0.500
Si1 Si 0.079 0.531 0.871
Si2 Si 0.489 0.121 0.875
```

Top 6 peaks for 2θ from 10° to 80°, sorted by position:
2θ = 27.47°, intensity 33.1, hkl 1 1 -2
2θ = 29.82°, intensity 37.4, hkl 2 0 -2
2θ = 33.72°, intensity 100.0, hkl 1 1 2
2θ = 34.09°, intensity 57.7, hkl 2 2 0
2θ = 38.45°, intensity 33.7, hkl 1 3 -1
2θ = 38.80°, intensity 34.6, hkl 1 1 -3

***

# Zn4Ag5
Calculated powder X-ray diffraction pattern, Cu Kα (weighted mean of Kα1 and Kα2). Input: a cell relaxed with PBE.

Atomic structure:
```
data_Zn4Ag5
_cell_length_a 7.8680
_cell_length_b 7.8680
_cell_length_c 5.5459
_cell_angle_alpha 90.00
_cell_angle_beta 90.00
_cell_angle_gamma 120.00
_space_group_name_H-M_alt 'P 63/m c m'
_space_group_IT_number 193
_space_group_name_Hall '-P 6c 2'
loop_
_atom_site_label
_atom_site_type_symbol
_atom_site_fract_x
_atom_site_fract_y
_atom_site_fract_z
Zn1 Zn 0.0000 0.0000 0.0000
Zn2 Zn 0.0000 0.3666 0.2500
Ag1 Ag 0.0000 0.2994 0.7500
Ag2 Ag 0.3333 0.6667 0.0000
```

Top 6 peaks for 2θ from 10° to 80°, sorted by position:
2θ = 27.80°, intensity 4.5, hkl 1 1 1
2θ = 38.54°, intensity 10.1, hkl 2 1 1
2θ = 39.73°, intensity 100.0, hkl 3 0 0
2θ = 57.44°, intensity 14.6, hkl 2 2 2
2θ = 67.56°, intensity 3.7, hkl 0 0 4
2θ = 72.06°, intensity 17.7, hkl 3 3 0

***

# SmIn6S8
Calculated powder X-ray diffraction pattern, Cu Kα (weighted mean of Kα1 and Kα2). Input: a cell relaxed with PBE.

Atomic structure:
```
data_SmIn6S8
_cell_length_a 10.6116
_cell_length_b 10.6116
_cell_length_c 11.3637
_cell_angle_alpha 90.00
_cell_angle_beta 90.00
_cell_angle_gamma 120.00
_space_group_name_H-M_alt 'R -3'
_space_group_IT_number 148
_space_group_name_Hall '-R 3'
loop_
_atom_site_label
_atom_site_type_symbol
_atom_site_fract_x
_atom_site_fract_y
_atom_site_fract_z
Sm1 Sm 0.0000 0.0000 0.0000
In1 In 0.0577 0.2250 0.6050
S1 S 0.0000 0.0000 0.2586
S2 S 0.0022 0.2672 0.0950
```

Top 6 peaks for 2θ from 10° to 80°, sorted by position:
2θ = 18.36°, intensity 30.1, hkl 0 1 2
2θ = 26.84°, intensity 100.0, hkl 2 1 1
2θ = 30.16°, intensity 72.9, hkl 3 -2 2
2θ = 37.21°, intensity 24.9, hkl 0 2 4
2θ = 41.04°, intensity 24.9, hkl 3 -1 4
2θ = 45.22°, intensity 35.9, hkl 1 4 0

***

# La3Tb2Sm4
Calculated powder X-ray diffraction pattern, Cu Kα (weighted mean of Kα1 and Kα2). Input: a cell relaxed with PBE.

Atomic structure:
```
data_La3Tb2Sm4
_cell_length_a 3.6408
_cell_length_b 3.6408
_cell_length_c 27.3202
_cell_angle_alpha 90.00
_cell_angle_beta 90.00
_cell_angle_gamma 120.00
_space_group_name_H-M_alt 'P 3 m 1'
_space_group_IT_number 156
loop_
_space_group_symop_operation_xyz
'x,y,z'
'-y,x-y,z'
'-x+y,-x,z'
'-y,-x,z'
'-x+y,y,z'
'x,x-y,z'
loop_
_atom_site_label
_atom_site_type_symbol
_atom_site_fract_x
_atom_site_fract_y
_atom_site_fract_z
La1 La 0.0000 0.0000 0.0000
La2 La 0.0000 0.0000 0.3361
La3 La 0.6667 0.3333 0.6695
Tb1 Tb 0.6667 0.3333 0.1058
Tb2 Tb 0.6667 0.3333 0.8866
Sm1 Sm 0.0000 0.0000 0.5567
Sm2 Sm 0.0000 0.0000 0.7830
Sm3 Sm 0.6667 0.3333 0.2285
Sm4 Sm 0.6667 0.3333 0.4511
```

Top 6 peaks for 2θ from 10° to 80°, sorted by position:
2θ = 28.30°, intensity 52.4, hkl 1 0 0
2θ = 29.42°, intensity 57.2, hkl 0 0 9
2θ = 31.25°, intensity 78.5, hkl 1 0 4
2θ = 32.79°, intensity 100.0, hkl 0 1 5
2θ = 50.11°, intensity 41.1, hkl 1 1 0
2θ = 59.18°, intensity 47.6, hkl 1 1 9